Diffraction record for MgMn6O11F. The PXRD pattern is computed, not measured: it uses a crystal structure in the Materials Project, relaxed with GGA+U and Cu Ka.

Peak list (10 most intense, 2θ from 10° to 90°, in order of rising 2θ)
| (hkl) | Position (°2θ) | I_rel |
| --- | --- | --- |
| 0 0 3 | 23.75 | 100 |
| 2 0 -1 | 27.92 | 99 |
| 0 0 4 | 31.84 | 46 |
| 1 1 1 | 35.29 | 59 |
| 1 1 -2 | 35.78 | 50 |
| 1 1 2 | 38.74 | 31 |
| 1 1 -3 | 39.45 | 23 |
| 2 1 -1 | 41.64 | 29 |
| 3 1 -3 | 55.01 | 45 |
| 1 1 5 | 55.97 | 32 |

Structural model:
a b c (Å): 6.399 2.957 11.545
angles (deg): 90.00 103.17 90.00
Fractional positions:
Mg1 0.000 0.000 0.000
Mn1 0.126 0.000 0.770
Mn2 0.389 0.500 0.213
Mn3 0.503 0.000 0.497
Mn4 0.623 0.500 0.786
Mn5 0.872 0.000 0.202
Mn6 0.999 0.500 0.490
O1 0.074 0.500 0.664
O2 0.179 0.000 0.177
O3 0.192 0.000 0.486
O4 0.440 0.000 0.808
O5 0.458 0.500 0.387
O6 0.550 0.500 0.608
O7 0.567 0.000 0.185
O8 0.806 0.000 0.492
O9 0.837 0.000 0.823
O10 0.845 0.500 0.079
O11 0.920 0.500 0.309
F1 0.168 0.500 0.940